Calculated XRD peak list
Compound: LiCa4Nd3Se8
Radiation: Cu Kα X-rays
Structure: a crystal structure in Alexandria, relaxed with PBE
Peak positions follow from Bragg's law for the DFT cell and can differ from measured ones.

Most intense lines, 10 to 90 degrees two-theta, low angle first:
| 2theta | I/Imax |
| --- | --- |
| 12.9 | 18 |
| 30.1 | 100 |
| 43.0 | 37 |
| 43.2 | 36 |
| 53.5 | 19 |
| 70.8 | 16 |
| 71.1 | 16 |
| 79.0 | 12 |

Crystal structure
```
data_LiCa4Nd3Se8
_space_group_name_H-M_alt 'P 1'
_space_group_IT_number 1
_space_group_name_Hall 'P 1'
_cell_length_a 8.4218
_cell_length_b 8.4218
_cell_length_c 8.4218
_cell_angle_alpha 59.66
_cell_angle_beta 59.66
_cell_angle_gamma 59.66
loop_
_atom_site_label
_atom_site_type_symbol
_atom_site_fract_x
_atom_site_fract_y
_atom_site_fract_z
_atom_site_occupancy
Li1 Li 0.0000 0.0000 0.0000 1
Ca1 Ca 0.0000 0.0000 0.5000 1
Ca2 Ca 0.0000 0.5000 0.0000 1
Ca3 Ca 0.5000 0.0000 0.0000 1
Ca4 Ca 0.5000 0.5000 0.5000 1
Nd1 Nd 0.0000 0.5000 0.5000 1
Nd2 Nd 0.5000 0.0000 0.5000 1
Nd3 Nd 0.5000 0.5000 0.0000 1
Se1 Se 0.2457 0.7523 0.7523 1
Se2 Se 0.2481 0.2481 0.2481 1
Se3 Se 0.2477 0.2477 0.7543 1
Se4 Se 0.2477 0.7543 0.2477 1
Se5 Se 0.7523 0.2457 0.7523 1
Se6 Se 0.7523 0.7523 0.2457 1
Se7 Se 0.7519 0.7519 0.7519 1
Se8 Se 0.7543 0.2477 0.2477 1
```

Calculated XRD peak list
Compound: Li3Ca2Ni2
Radiation: Cu Kα X-rays
Structure: a crystal structure in Alexandria, relaxed with PBE
Peak positions follow from Bragg's law for the DFT cell and can differ from measured ones.

Most intense lines, 10 to 90 degrees two-theta, low angle first:
| 2theta | I/Imax |
| --- | --- |
| 23.8 | 25 |
| 28.5 | 42 |
| 32.1 | 31 |
| 34.6 | 81 |
| 35.1 | 41 |
| 39.2 | 100 |
| 47.3 | 29 |
| 67.2 | 30 |

Crystal structure
```
data_Li3Ca2Ni2
_space_group_name_H-M_alt 'P 1'
_space_group_IT_number 1
_space_group_name_Hall 'P 1'
_cell_length_a 3.9299
_cell_length_b 19.8500
_cell_length_c 4.0356
_cell_angle_alpha 90.00
_cell_angle_beta 90.00
_cell_angle_gamma 90.00
loop_
_atom_site_label
_atom_site_type_symbol
_atom_site_fract_x
_atom_site_fract_y
_atom_site_fract_z
_atom_site_occupancy
Li1 Li 0.0000 0.0000 0.0000 1
Li2 Li 0.0000 0.4230 0.5000 1
Li3 Li 0.0000 0.5770 0.5000 1
Li4 Li 0.5000 0.0770 0.5000 1
Li5 Li 0.5000 0.5000 0.0000 1
Li6 Li 0.5000 0.9230 0.5000 1
Ca1 Ca 0.0000 0.1735 0.0000 1
Ca2 Ca 0.0000 0.8265 0.0000 1
Ca3 Ca 0.5000 0.3265 0.0000 1
Ca4 Ca 0.5000 0.6735 0.0000 1
Ni1 Ni 0.0000 0.2803 0.5000 1
Ni2 Ni 0.0000 0.7197 0.5000 1
Ni3 Ni 0.5000 0.2197 0.5000 1
Ni4 Ni 0.5000 0.7803 0.5000 1
```

Calculated XRD peak list
Compound: LiCa2NiSb2
Radiation: Cu Kα X-rays
Structure: a crystal structure in Alexandria, relaxed with PBE
Peak positions follow from Bragg's law for the DFT cell and can differ from measured ones.

Most intense lines, 10 to 90 degrees two-theta, low angle first:
| 2theta | I/Imax |
| --- | --- |
| 23.6 | 70 |
| 25.5 | 27 |
| 28.2 | 61 |
| 32.5 | 31 |
| 38.4 | 100 |
| 40.2 | 55 |
| 47.2 | 24 |
| 71.9 | 28 |

Crystal structure
```
data_LiCa2NiSb2
_space_group_name_H-M_alt 'P 1'
_space_group_IT_number 1
_space_group_name_Hall 'P 1'
_cell_length_a 8.2967
_cell_length_b 8.2967
_cell_length_c 8.2967
_cell_angle_alpha 135.05
_cell_angle_beta 65.39
_cell_angle_gamma 135.13
loop_
_atom_site_label
_atom_site_type_symbol
_atom_site_fract_x
_atom_site_fract_y
_atom_site_fract_z
_atom_site_occupancy
Li1 Li 0.2500 0.2500 0.0000 1
Li2 Li 0.7500 0.7500 0.0000 1
Ca1 Ca 0.1556 0.7456 0.9012 1
Ca2 Ca 0.3444 0.2456 0.5899 1
Ca3 Ca 0.6556 0.7544 0.4101 1
Ca4 Ca 0.8444 0.2544 0.0988 1
Ni1 Ni 0.2500 0.7500 0.5000 1
Ni2 Ni 0.7500 0.2500 0.5000 1
Sb1 Sb 0.1086 0.2629 0.3715 1
Sb2 Sb 0.3914 0.7629 0.1542 1
Sb3 Sb 0.6086 0.2371 0.8458 1
Sb4 Sb 0.8914 0.7371 0.6285 1
```

Calculated XRD peak list
Compound: LiCa3OsO6
Radiation: Cu Kα X-rays
Structure: a crystal structure in Alexandria, relaxed with PBE
Peak positions follow from Bragg's law for the DFT cell and can differ from measured ones.

Most intense lines, 10 to 90 degrees two-theta, low angle first:
| 2theta | I/Imax |
| --- | --- |
| 19.0 | 52 |
| 19.7 | 100 |
| 27.5 | 36 |
| 33.2 | 52 |
| 33.6 | 30 |
| 43.6 | 31 |
| 44.6 | 32 |
| 54.3 | 18 |

Crystal structure
```
data_LiCa3OsO6
_space_group_name_H-M_alt 'P 1'
_space_group_IT_number 1
_space_group_name_Hall 'P 1'
_cell_length_a 6.5053
_cell_length_b 6.5053
_cell_length_c 6.5053
_cell_angle_alpha 92.00
_cell_angle_beta 92.00
_cell_angle_gamma 92.00
loop_
_atom_site_label
_atom_site_type_symbol
_atom_site_fract_x
_atom_site_fract_y
_atom_site_fract_z
_atom_site_occupancy
Li1 Li 0.2500 0.2500 0.2500 1
Li2 Li 0.7500 0.7500 0.7500 1
Ca1 Ca 0.1021 0.7500 0.3979 1
Ca2 Ca 0.2500 0.6021 0.8979 1
Ca3 Ca 0.3979 0.1021 0.7500 1
Ca4 Ca 0.6021 0.8979 0.2500 1
Ca5 Ca 0.7500 0.3979 0.1021 1
Ca6 Ca 0.8979 0.2500 0.6021 1
Os1 Os 0.0000 0.0000 0.0000 1
Os2 Os 0.5000 0.5000 0.5000 1
O1 O 0.0491 0.9240 0.7082 1
O2 O 0.0760 0.2918 0.9509 1
O3 O 0.2082 0.4240 0.5491 1
O4 O 0.2918 0.9509 0.0760 1
O5 O 0.4240 0.5491 0.2082 1
O6 O 0.4509 0.7918 0.5760 1
O7 O 0.5491 0.2082 0.4240 1
O8 O 0.5760 0.4509 0.7918 1
O9 O 0.7082 0.0491 0.9240 1
O10 O 0.7918 0.5760 0.4509 1
O11 O 0.9240 0.7082 0.0491 1
O12 O 0.9509 0.0760 0.2918 1
```

Calculated XRD peak list
Compound: Li2CaPd2O6
Radiation: Cu Kα X-rays
Structure: a crystal structure in Alexandria, relaxed with PBE
Peak positions follow from Bragg's law for the DFT cell and can differ from measured ones.

Most intense lines, 10 to 90 degrees two-theta, low angle first:
| 2theta | I/Imax |
| --- | --- |
| 17.5 | 100 |
| 33.2 | 14 |
| 33.8 | 37 |
| 34.5 | 16 |
| 39.2 | 22 |
| 41.7 | 38 |
| 43.6 | 12 |
| 57.9 | 13 |

Crystal structure
```
data_Li2CaPd2O6
_space_group_name_H-M_alt 'P 1'
_space_group_IT_number 1
_space_group_name_Hall 'P 1'
_cell_length_a 5.4394
_cell_length_b 5.4394
_cell_length_c 5.5553
_cell_angle_alpha 101.72
_cell_angle_beta 101.72
_cell_angle_gamma 120.37
loop_
_atom_site_label
_atom_site_type_symbol
_atom_site_fract_x
_atom_site_fract_y
_atom_site_fract_z
_atom_site_occupancy
Li1 Li 0.1703 0.8297 0.0000 1
Li2 Li 0.8297 0.1703 0.0000 1
Ca1 Ca 0.0000 0.0000 0.5000 1
Pd1 Pd 0.3360 0.6640 0.5000 1
Pd2 Pd 0.6640 0.3360 0.5000 1
O1 O 0.0831 0.4599 0.7235 1
O2 O 0.2625 0.2625 0.2704 1
O3 O 0.4599 0.0831 0.7235 1
O4 O 0.5401 0.9169 0.2765 1
O5 O 0.7375 0.7375 0.7296 1
O6 O 0.9169 0.5401 0.2765 1
```

Calculated XRD peak list
Compound: LiCa2PuO4
Radiation: Cu Kα X-rays
Structure: a crystal structure in Alexandria, relaxed with PBE
Peak positions follow from Bragg's law for the DFT cell and can differ from measured ones.

Most intense lines, 10 to 90 degrees two-theta, low angle first:
| 2theta | I/Imax |
| --- | --- |
| 16.0 | 43 |
| 16.2 | 100 |
| 19.0 | 68 |
| 25.7 | 33 |
| 30.4 | 43 |
| 32.2 | 71 |
| 37.0 | 76 |
| 38.6 | 34 |

Crystal structure
```
data_LiCa2PuO4
_space_group_name_H-M_alt 'P 1'
_space_group_IT_number 1
_space_group_name_Hall 'P 1'
_cell_length_a 5.7276
_cell_length_b 3.4628
_cell_length_c 5.8267
_cell_angle_alpha 90.00
_cell_angle_beta 107.56
_cell_angle_gamma 90.00
loop_
_atom_site_label
_atom_site_type_symbol
_atom_site_fract_x
_atom_site_fract_y
_atom_site_fract_z
_atom_site_occupancy
Li1 Li 0.0000 0.0000 0.0000 1
Ca1 Ca 0.0000 0.5000 0.5000 1
Ca2 Ca 0.5000 0.0000 0.5000 1
Pu1 Pu 0.5000 0.5000 0.0000 1
O1 O 0.2510 0.0000 0.7583 1
O2 O 0.2658 0.5000 0.2549 1
O3 O 0.7342 0.5000 0.7451 1
O4 O 0.7490 0.0000 0.2417 1
```

Calculated XRD peak list
Compound: LiCa3RuO6
Radiation: Cu Kα X-rays
Structure: a crystal structure in Alexandria, relaxed with PBE
Peak positions follow from Bragg's law for the DFT cell and can differ from measured ones.

Most intense lines, 10 to 90 degrees two-theta, low angle first:
| 2theta | I/Imax |
| --- | --- |
| 19.0 | 25 |
| 19.7 | 100 |
| 27.6 | 26 |
| 31.3 | 28 |
| 33.3 | 66 |
| 43.8 | 32 |
| 44.7 | 34 |
| 46.4 | 37 |

Crystal structure
```
data_LiCa3RuO6
_space_group_name_H-M_alt 'P 1'
_space_group_IT_number 1
_space_group_name_Hall 'P 1'
_cell_length_a 6.4800
_cell_length_b 6.4800
_cell_length_c 6.4800
_cell_angle_alpha 91.94
_cell_angle_beta 91.94
_cell_angle_gamma 91.94
loop_
_atom_site_label
_atom_site_type_symbol
_atom_site_fract_x
_atom_site_fract_y
_atom_site_fract_z
_atom_site_occupancy
Li1 Li 0.2500 0.2500 0.2500 1
Li2 Li 0.7500 0.7500 0.7500 1
Ca1 Ca 0.1054 0.7500 0.3946 1
Ca2 Ca 0.2500 0.6054 0.8946 1
Ca3 Ca 0.3946 0.1054 0.7500 1
Ca4 Ca 0.6054 0.8946 0.2500 1
Ca5 Ca 0.7500 0.3946 0.1054 1
Ca6 Ca 0.8946 0.2500 0.6054 1
Ru1 Ru 0.0000 0.0000 0.0000 1
Ru2 Ru 0.5000 0.5000 0.5000 1
O1 O 0.0499 0.9229 0.7085 1
O2 O 0.0771 0.2915 0.9501 1
O3 O 0.2085 0.4229 0.5499 1
O4 O 0.2915 0.9501 0.0771 1
O5 O 0.4229 0.5499 0.2085 1
O6 O 0.4501 0.7915 0.5771 1
O7 O 0.5499 0.2085 0.4229 1
O8 O 0.5771 0.4501 0.7915 1
O9 O 0.7085 0.0499 0.9229 1
O10 O 0.7915 0.5771 0.4501 1
O11 O 0.9229 0.7085 0.0499 1
O12 O 0.9501 0.0771 0.2915 1
```

Calculated XRD peak list
Compound: LiCa2SeO6
Radiation: Cu Kα X-rays
Structure: a crystal structure in Alexandria, relaxed with PBE
Peak positions follow from Bragg's law for the DFT cell and can differ from measured ones.

Most intense lines, 10 to 90 degrees two-theta, low angle first:
| 2theta | I/Imax |
| --- | --- |
| 19.8 | 100 |
| 20.1 | 38 |
| 20.3 | 50 |
| 32.3 | 30 |
| 32.9 | 61 |
| 33.2 | 61 |
| 46.9 | 55 |
| 48.1 | 30 |

Crystal structure
```
data_LiCa2SeO6
_space_group_name_H-M_alt 'P 1'
_space_group_IT_number 1
_space_group_name_Hall 'P 1'
_cell_length_a 5.4088
_cell_length_b 5.5450
_cell_length_c 9.2505
_cell_angle_alpha 90.00
_cell_angle_beta 125.08
_cell_angle_gamma 90.00
loop_
_atom_site_label
_atom_site_type_symbol
_atom_site_fract_x
_atom_site_fract_y
_atom_site_fract_z
_atom_site_occupancy
Li1 Li 0.0000 0.0000 0.0000 1
Li2 Li 0.0000 0.5000 0.5000 1
Ca1 Ca 0.2356 0.0500 0.7472 1
Ca2 Ca 0.2356 0.4500 0.2472 1
Ca3 Ca 0.7644 0.5500 0.7528 1
Ca4 Ca 0.7644 0.9500 0.2528 1
Se1 Se 0.5000 0.0000 0.5000 1
Se2 Se 0.5000 0.5000 0.0000 1
O1 O 0.1959 0.1907 0.4644 1
O2 O 0.1959 0.3093 0.9644 1
O3 O 0.2706 0.7349 0.4582 1
O4 O 0.2706 0.7651 0.9582 1
O5 O 0.3434 0.0208 0.2672 1
O6 O 0.3434 0.4792 0.7672 1
O7 O 0.6566 0.5208 0.2328 1
O8 O 0.6566 0.9792 0.7328 1
O9 O 0.7294 0.2349 0.0418 1
O10 O 0.7294 0.2651 0.5418 1
O11 O 0.8041 0.6907 0.0356 1
O12 O 0.8041 0.8093 0.5356 1
```

> What is the formula in the second record?

Li3Ca2Ni2

> What is the formula in the seventh record?

LiCa3RuO6

What did the first record say?
Calculated XRD peak list
Compound: LiCa4Nd3Se8
Radiation: Cu Kα X-rays
Structure: a crystal structure in Alexandria, relaxed with PBE
Peak positions follow from Bragg's law for the DFT cell and can differ from measured ones.

Most intense lines, 10 to 90 degrees two-theta, low angle first:
| 2theta | I/Imax |
| --- | --- |
| 12.9 | 18 |
| 30.1 | 100 |
| 43.0 | 37 |
| 43.2 | 36 |
| 53.5 | 19 |
| 70.8 | 16 |
| 71.1 | 16 |
| 79.0 | 12 |

Crystal structure
```
data_LiCa4Nd3Se8
_space_group_name_H-M_alt 'P 1'
_space_group_IT_number 1
_space_group_name_Hall 'P 1'
_cell_length_a 8.4218
_cell_length_b 8.4218
_cell_length_c 8.4218
_cell_angle_alpha 59.66
_cell_angle_beta 59.66
_cell_angle_gamma 59.66
loop_
_atom_site_label
_atom_site_type_symbol
_atom_site_fract_x
_atom_site_fract_y
_atom_site_fract_z
_atom_site_occupancy
Li1 Li 0.0000 0.0000 0.0000 1
Ca1 Ca 0.0000 0.0000 0.5000 1
Ca2 Ca 0.0000 0.5000 0.0000 1
Ca3 Ca 0.5000 0.0000 0.0000 1
Ca4 Ca 0.5000 0.5000 0.5000 1
Nd1 Nd 0.0000 0.5000 0.5000 1
Nd2 Nd 0.5000 0.0000 0.5000 1
Nd3 Nd 0.5000 0.5000 0.0000 1
Se1 Se 0.2457 0.7523 0.7523 1
Se2 Se 0.2481 0.2481 0.2481 1
Se3 Se 0.2477 0.2477 0.7543 1
Se4 Se 0.2477 0.7543 0.2477 1
Se5 Se 0.7523 0.2457 0.7523 1
Se6 Se 0.7523 0.7523 0.2457 1
Se7 Se 0.7519 0.7519 0.7519 1
Se8 Se 0.7543 0.2477 0.2477 1
```